[1]
Structure and simulated powder diffraction line list of Rb3BiF6 (a DFT-relaxed cell (GGA-PBE, the Materials Project); Cu Kα, 1.54184 Å).
Lines closer than 0.1° are merged.

Main lines, low angle first (2θ = 10–90°):
d (Å)  I/Imax
5.710  20
4.945  16
3.496  100
2.472  36
2.019  43
1.748  24
1.564  21
1.322  24
1.165  12
1.106  10

Atomic structure:
```
Rb3BiF6
1.0
0.0000 4.9447 4.9447
4.9447 0.0000 4.9447
4.9447 4.9447 0.0000
Rb Bi F
3 1 6
Direct
0.0000 0.0000 0.0000 Rb
0.2500 0.2500 0.2500 Rb
0.7500 0.7500 0.7500 Rb
0.5000 0.5000 0.5000 Bi
0.2704 0.2704 0.7296 F
0.2704 0.7296 0.2704 F
0.2704 0.7296 0.7296 F
0.7296 0.2704 0.2704 F
0.7296 0.2704 0.7296 F
0.7296 0.7296 0.2704 F
```

***

[2]
Structure and simulated powder diffraction line list of RbBiF6 (a DFT-relaxed cell (GGA-PBE, the Materials Project); Cu Kα, 1.54184 Å).
Lines closer than 0.1° are merged.

Main lines, low angle first (2θ = 10–90°):
d (Å)  I/Imax
5.294  50
4.016  100
3.519  73
2.647  26
2.319  18
2.210  64
2.008  16
1.744  17
1.612  24
1.518  16

Atomic structure:
```
RbBiF6
1.0
4.0160 2.3186 2.7201
-4.0160 2.3186 2.7201
0.0000 -4.6373 2.7201
Rb Bi F
1 1 6
Direct
0.0000 0.0000 0.0000 Rb
0.5000 0.5000 0.5000 Bi
0.1933 0.5808 0.2745 F
0.2745 0.1933 0.5808 F
0.4192 0.7255 0.8067 F
0.5808 0.2745 0.1933 F
0.7255 0.8067 0.4192 F
0.8067 0.4192 0.7255 F
```